Record 1
Computed X-ray diffraction stick pattern
Compound: Hf4Zr2Au3N3
Radiation: λ = 1.5418 Å (Cu Kα)
Structure: the PBE geometry in OQMD
Neutral-atom scattering factors, no anomalous dispersion.

Largest 12 diffraction maxima, most intense first, 5 to 70 degrees two-theta:
| d (Å) | 2theta | I/Imax | index |
| --- | --- | --- | --- |
| 2.421 | 37.1 | 100 | 0 2 3 |
| 2.833 | 31.6 | 23 | 3 1 -1 |
| 1.636 | 56.2 | 20 | 6 0 -2 |
| 2.330 | 38.6 | 19 | 0 0 6 |
| 1.355 | 69.3 | 15 | 6 2 -5 |
| 1.363 | 68.9 | 10 | 0 2 9 |
| 1.800 | 50.7 | 10 | 3 1 -7 |
| 1.361 | 69.0 | 6 | 3 1 8 |
| 1.798 | 50.8 | 5 | 3 1 5 |
| 4.874 | 18.2 | 4 | 1 1 0 |
| 4.777 | 18.6 | 3 | 2 0 0 |
| 6.989 | 12.7 | 3 | 0 0 2 |

a b c (Å): 9.814 5.668 14.363
angles (deg): 90.00 103.30 90.00
Space group C2/c (No. 15)
One atom of each set of equivalent atoms:
Hf: 0.112 0.088 0.087 x8
Hf: 0.223 0.082 0.413 x8
Zr: 0.049 0.418 0.905 x8
Au: 0.000 0.056 0.750 x4
Au: 0.180 0.404 0.250 x8
N: 0.085 0.244 0.500 x8
N: 0.250 0.250 0.000 x4

Record 2
Computed X-ray diffraction stick pattern
Compound: NaHfAuSeS2
Radiation: λ = 1.5418 Å (Cu Kα)
Structure: the PBE geometry in OQMD
Neutral-atom scattering factors, no anomalous dispersion.

Largest 12 diffraction maxima, most intense first, 5 to 70 degrees two-theta:
| d (Å) | 2theta | I/Imax | index |
| --- | --- | --- | --- |
| 6.922 | 12.8 | 100 | 0 2 0 |
| 2.803 | 31.9 | 50 | 1 3 1 |
| 2.959 | 30.2 | 33 | 1 1 2 |
| 2.557 | 35.1 | 29 | 0 0 4 |
| 2.103 | 43.0 | 26 | 0 6 2 |
| 2.215 | 40.7 | 21 | 1 3 3 |
| 5.732 | 15.5 | 19 | 0 2 1 |
| 2.914 | 30.7 | 17 | 1 3 0 |
| 2.532 | 35.5 | 17 | 1 3 2 |
| 2.398 | 37.5 | 15 | 0 2 4 |
| 2.229 | 40.5 | 15 | 1 5 0 |
| 1.401 | 66.8 | 14 | 2 6 2 |

a b c (Å): 3.759 13.844 10.227
angles (deg): 90.00 90.00 90.00
Space group Cmcm (No. 63)
One atom of each set of equivalent atoms:
Na: 0.000 0.241 0.250 x4
Hf: 0.000 0.500 0.000 x4
Au: 0.000 0.083 0.750 x4
Se: 0.000 0.427 0.750 x4
S: 0.000 0.127 0.526 x8

Record 3
Computed X-ray diffraction stick pattern
Compound: NaHfTeAuS2
Radiation: λ = 1.5418 Å (Cu Kα)
Structure: the PBE geometry in OQMD
Neutral-atom scattering factors, no anomalous dispersion.

Largest 12 diffraction maxima, most intense first, 5 to 70 degrees two-theta:
| d (Å) | 2theta | I/Imax | index |
| --- | --- | --- | --- |
| 7.160 | 12.4 | 100 | 0 2 0 |
| 2.589 | 34.6 | 42 | 1 3 2 |
| 2.856 | 31.3 | 33 | 1 3 1 |
| 2.656 | 33.7 | 22 | 0 0 4 |
| 3.013 | 29.6 | 19 | 1 1 2 |
| 2.098 | 43.1 | 18 | 1 5 2 |
| 2.490 | 36.1 | 16 | 0 2 4 |
| 2.274 | 39.6 | 12 | 1 3 3 |
| 1.892 | 48.1 | 9 | 2 0 0 |
| 1.727 | 53.0 | 9 | 1 3 5 |
| 1.541 | 60.0 | 9 | 2 0 4 |
| 3.460 | 25.8 | 8 | 1 1 1 |

a b c (Å): 3.785 14.320 10.623
angles (deg): 90.00 90.00 90.00
Space group Cmcm (No. 63)
One atom of each set of equivalent atoms:
Na: 0.000 0.217 0.250 x4
Hf: 0.000 0.000 0.000 x4
Te: 0.000 0.101 0.750 x4
Au: 0.000 0.453 0.750 x4
S: 0.000 0.381 0.543 x8

Record 4
Computed X-ray diffraction stick pattern
Compound: NdHfAu6
Radiation: λ = 1.5418 Å (Cu Kα)
Structure: the PBE geometry in OQMD
Neutral-atom scattering factors, no anomalous dispersion.

Largest 12 diffraction maxima, most intense first, 5 to 70 degrees two-theta:
| d (Å) | 2theta | I/Imax | index |
| --- | --- | --- | --- |
| 2.350 | 38.3 | 100 | 1 2 1 |
| 2.260 | 39.9 | 48 | 1 0 2 |
| 2.481 | 36.2 | 41 | 2 0 0 |
| 2.669 | 33.6 | 25 | 0 2 1 |
| 1.406 | 66.5 | 20 | 3 2 1 |
| 1.817 | 50.2 | 17 | 2 2 1 |
| 1.489 | 62.4 | 16 | 0 2 3 |
| 1.386 | 67.6 | 10 | 3 0 2 |
| 2.538 | 35.4 | 10 | 0 0 2 |
| 1.569 | 58.9 | 9 | 0 4 0 |
| 1.774 | 51.5 | 7 | 2 0 2 |
| 6.275 | 14.1 | 3 | 0 1 0 |

a b c (Å): 4.961 6.275 5.076
angles (deg): 90.00 90.00 90.00
Space group Pmm2 (No. 25)
One atom of each set of equivalent atoms:
Nd: 0.000 0.000 0.000 x1
Hf: 0.500 0.500 0.319 x1
Au: 0.000 0.272 0.499 x2
Au: 0.000 0.500 0.010 x1
Au: 0.500 0.000 0.351 x1
Au: 0.500 0.266 0.826 x2

Record 5
Computed X-ray diffraction stick pattern
Compound: HfTlAu3O4
Radiation: λ = 1.5418 Å (Cu Kα)
Structure: the PBE geometry in OQMD
Neutral-atom scattering factors, no anomalous dispersion.

Largest 12 diffraction maxima, most intense first, 5 to 70 degrees two-theta:
| d (Å) | 2theta | I/Imax | index |
| --- | --- | --- | --- |
| 2.846 | 31.4 | 100 | 2 0 0 |
| 2.012 | 45.0 | 93 | 2 2 0 |
| 3.286 | 27.1 | 89 | 1 1 1 |
| 1.716 | 53.4 | 43 | 3 1 1 |
| 1.643 | 56.0 | 28 | 2 2 2 |
| 5.692 | 15.6 | 24 | 1 0 0 |
| 4.025 | 22.1 | 20 | 1 1 0 |
| 1.423 | 65.6 | 15 | 4 0 0 |
| 2.546 | 35.3 | 9 | 2 1 0 |
| 2.324 | 38.7 | 8 | 2 1 1 |
| 1.897 | 47.9 | 6 | 2 2 1 |
| 1.521 | 60.9 | 5 | 3 2 1 |

a b c (Å): 5.692 5.692 5.692
angles (deg): 90.00 90.00 90.00
Space group P-43m (No. 215)
One atom of each set of equivalent atoms:
Hf: 0.000 0.000 0.000 x1
Tl: 0.500 0.500 0.500 x1
Au: 0.000 0.000 0.500 x3
O: 0.205 0.205 0.795 x4

Record 6
Computed X-ray diffraction stick pattern
Compound: Hf2Pb3Au2
Radiation: λ = 1.5418 Å (Cu Kα)
Structure: the PBE geometry in OQMD
Neutral-atom scattering factors, no anomalous dispersion.

Largest 12 diffraction maxima, most intense first, 5 to 70 degrees two-theta:
| d (Å) | 2theta | I/Imax | index |
| --- | --- | --- | --- |
| 2.429 | 37.0 | 100 | 1 1 0 |
| 2.710 | 33.0 | 99 | 1 0 7 |
| 1.809 | 50.5 | 31 | 0 2 7 |
| 1.451 | 64.2 | 30 | 2 1 7 |
| 1.402 | 66.7 | 18 | 3 0 0 |
| 2.137 | 42.3 | 14 | 1 0 10 |
| 3.482 | 25.6 | 11 | 1 0 4 |
| 8.269 | 10.7 | 9 | 0 0 3 |
| 1.367 | 68.7 | 9 | 1 1 15 |
| 1.988 | 45.6 | 8 | 0 1 11 |
| 2.496 | 36.0 | 8 | 0 1 8 |
| 1.633 | 56.3 | 7 | 0 1 14 |

a b c (Å): 4.8579 4.8579 24.8085
angles (deg): 90.00 90.00 120.00
Space group R3m (No. 160, hexagonal axes)
One atom of each set of equivalent atoms:
Hf: 0.0000 0.0000 0.0000 x3
Hf: 0.0000 0.0000 0.4190 x3
Pb: 0.0000 0.0000 0.2876 x3
Pb: 0.0000 0.0000 0.5617 x3
Pb: 0.0000 0.0000 0.8257 x3
Au: 0.0000 0.0000 0.1121 x3
Au: 0.0000 0.0000 0.6994 x3

Record 7
Computed X-ray diffraction stick pattern
Compound: RbHfTe2AuS
Radiation: λ = 1.5418 Å (Cu Kα)
Structure: the PBE geometry in OQMD
Neutral-atom scattering factors, no anomalous dispersion.

Largest 12 diffraction maxima, most intense first, 5 to 70 degrees two-theta:
| d (Å) | 2theta | I/Imax | index |
| --- | --- | --- | --- |
| 8.788 | 10.1 | 100 | 0 2 0 |
| 2.825 | 31.7 | 63 | 1 3 2 |
| 2.693 | 33.3 | 39 | 1 5 0 |
| 3.230 | 27.6 | 39 | 1 3 1 |
| 2.524 | 35.6 | 35 | 0 0 4 |
| 6.628 | 13.4 | 29 | 0 2 1 |
| 1.842 | 49.5 | 25 | 1 5 4 |
| 2.015 | 45.0 | 21 | 0 8 2 |
| 2.095 | 43.2 | 20 | 2 0 0 |
| 1.612 | 57.1 | 18 | 2 0 4 |
| 3.409 | 26.1 | 16 | 1 3 0 |
| 1.452 | 64.1 | 15 | 2 8 2 |

a b c (Å): 4.191 17.577 10.095
angles (deg): 90.00 90.00 90.00
Space group Cmcm (No. 63)
One atom of each set of equivalent atoms:
Rb: 0.000 0.229 0.250 x4
Hf: 0.000 0.000 0.000 x4
Te: 0.000 0.380 0.504 x8
Au: 0.000 0.442 0.750 x4
S: 0.000 0.029 0.750 x4

Record 8
Computed X-ray diffraction stick pattern
Compound: RbHfAu3Se4
Radiation: λ = 1.5418 Å (Cu Kα)
Structure: the PBE geometry in OQMD
Neutral-atom scattering factors, no anomalous dispersion.

Largest 12 diffraction maxima, most intense first, 5 to 70 degrees two-theta:
| d (Å) | 2theta | I/Imax | index |
| --- | --- | --- | --- |
| 9.825 | 9.0 | 100 | 0 0 1 |
| 6.094 | 14.5 | 42 | 0 1 1 |
| 2.173 | 41.6 | 36 | 2 2 -3 |
| 2.182 | 41.4 | 24 | 2 2 1 |
| 3.251 | 27.4 | 21 | 1 2 0 |
| 2.768 | 32.3 | 18 | 2 1 -2 |
| 2.504 | 35.9 | 17 | 0 3 1 |
| 2.373 | 37.9 | 16 | 1 3 -1 |
| 1.955 | 46.5 | 15 | 2 2 2 |
| 2.245 | 40.2 | 15 | 1 3 -2 |
| 2.456 | 36.6 | 15 | 0 0 4 |
| 3.018 | 29.6 | 14 | 0 1 3 |

a b c (Å): 6.227 7.768 10.286
angles (deg): 90.00 107.23 90.00
Space group P2_1/m (No. 11)
One atom of each set of equivalent atoms:
Rb: 0.166 0.250 0.387 x2
Hf: 0.349 0.750 0.210 x2
Au: 0.140 0.250 0.763 x2
Au: 0.299 0.063 0.017 x4
Se: 0.059 0.750 0.969 x2
Se: 0.230 0.750 0.423 x2
Se: 0.401 0.519 0.747 x4

Record 9
Computed X-ray diffraction stick pattern
Compound: Hf3Zr3Sb2Au
Radiation: λ = 1.5418 Å (Cu Kα)
Structure: the PBE geometry in OQMD
Neutral-atom scattering factors, no anomalous dispersion.

Largest 12 diffraction maxima, most intense first, 5 to 70 degrees two-theta:
| d (Å) | 2theta | I/Imax | index |
| --- | --- | --- | --- |
| 2.510 | 35.8 | 100 | 2 0 1 |
| 2.705 | 33.1 | 85 | 1 1 1 |
| 2.108 | 42.9 | 74 | 2 1 1 |
| 2.544 | 35.3 | 56 | 2 1 0 |
| 2.243 | 40.2 | 49 | 3 0 0 |
| 1.429 | 65.3 | 44 | 3 2 1 |
| 6.730 | 13.2 | 39 | 1 0 0 |
| 1.884 | 48.3 | 25 | 0 0 2 |
| 1.443 | 64.6 | 24 | 3 0 2 |
| 1.514 | 61.2 | 23 | 2 1 2 |
| 3.885 | 22.9 | 16 | 1 1 0 |
| 1.469 | 63.3 | 13 | 4 1 0 |

a b c (Å): 7.7708 7.7708 3.7675
angles (deg): 90.00 90.00 120.00
Space group P-62m (No. 189)
One atom of each set of equivalent atoms:
Hf: 0.0000 0.7469 0.0000 x3
Zr: 0.0000 0.4061 0.5000 x3
Sb: 0.3333 0.6667 0.0000 x2
Au: 0.0000 0.0000 0.5000 x1

Record 10
Computed X-ray diffraction stick pattern
Compound: HfTlAuSe3
Radiation: λ = 1.5418 Å (Cu Kα)
Structure: the PBE geometry in OQMD
Neutral-atom scattering factors, no anomalous dispersion.

Largest 12 diffraction maxima, most intense first, 5 to 70 degrees two-theta:
| d (Å) | 2theta | I/Imax | index |
| --- | --- | --- | --- |
| 2.920 | 30.6 | 100 | 1 1 3 |
| 2.216 | 40.7 | 40 | 2 0 6 |
| 2.697 | 33.2 | 39 | 4 0 0 |
| 2.319 | 38.8 | 38 | 3 1 3 |
| 1.758 | 52.0 | 26 | 5 1 3 |
| 2.644 | 33.9 | 24 | 2 1 3 |
| 1.941 | 46.8 | 23 | 0 2 0 |
| 7.291 | 12.1 | 22 | 0 0 2 |
| 3.033 | 29.4 | 19 | 0 1 3 |
| 1.460 | 63.7 | 19 | 2 2 6 |
| 4.337 | 20.5 | 16 | 2 0 2 |
| 6.041 | 14.7 | 16 | 1 0 2 |

a b c (Å): 10.790 3.882 14.581
angles (deg): 90.00 90.00 90.00
Space group Pnma (No. 62)
One atom of each set of equivalent atoms:
Hf: 0.042 0.250 0.250 x4
Tl: 0.235 0.750 0.002 x4
Au: 0.250 0.250 0.821 x4
Se: 0.022 0.250 0.872 x4
Se: 0.029 0.750 0.380 x4
Se: 0.238 0.750 0.686 x4

Record 11
Computed X-ray diffraction stick pattern
Compound: HfTlAuSe3
Radiation: λ = 1.5418 Å (Cu Kα)
Structure: the PBE geometry in OQMD
Neutral-atom scattering factors, no anomalous dispersion.

Largest 12 diffraction maxima, most intense first, 5 to 70 degrees two-theta:
| d (Å) | 2theta | I/Imax | index |
| --- | --- | --- | --- |
| 2.929 | 30.5 | 100 | 3 1 1 |
| 2.641 | 33.9 | 97 | 3 1 2 |
| 2.466 | 36.4 | 70 | 2 1 3 |
| 7.304 | 12.1 | 67 | 2 0 0 |
| 1.953 | 46.5 | 49 | 0 2 0 |
| 2.140 | 42.2 | 38 | 5 1 2 |
| 3.653 | 24.4 | 31 | 4 0 0 |
| 3.073 | 29.1 | 27 | 1 1 2 |
| 2.605 | 34.4 | 26 | 1 0 4 |
| 1.804 | 50.6 | 25 | 2 1 5 |
| 4.287 | 20.7 | 24 | 2 0 2 |
| 2.489 | 36.1 | 22 | 2 0 4 |

a b c (Å): 14.608 3.907 10.590
angles (deg): 90.00 90.00 90.00
Space group Pnma (No. 62)
One atom of each set of equivalent atoms:
Hf: 0.014 0.250 0.174 x4
Tl: 0.229 0.250 0.453 x4
Au: 0.021 0.750 0.403 x4
Se: 0.089 0.250 0.934 x4
Se: 0.107 0.750 0.642 x4
Se: 0.140 0.750 0.223 x4

Record 12
Computed X-ray diffraction stick pattern
Compound: Hf2ZrSi4Au4
Radiation: λ = 1.5418 Å (Cu Kα)
Structure: the PBE geometry in OQMD
Neutral-atom scattering factors, no anomalous dispersion.

Largest 12 diffraction maxima, most intense first, 5 to 70 degrees two-theta:
| d (Å) | 2theta | I/Imax | index |
| --- | --- | --- | --- |
| 2.575 | 34.8 | 100 | 1 2 1 |
| 2.277 | 39.6 | 74 | 1 2 3 |
| 3.060 | 29.2 | 73 | 1 0 3 |
| 2.463 | 36.5 | 57 | 1 1 4 |
| 2.051 | 44.2 | 42 | 2 0 0 |
| 2.037 | 44.5 | 36 | 0 3 3 |
| 1.908 | 47.7 | 33 | 0 2 6 |
| 3.514 | 25.3 | 30 | 1 1 0 |
| 3.452 | 25.8 | 29 | 0 0 4 |
| 2.560 | 35.1 | 26 | 0 1 5 |
| 6.905 | 12.8 | 25 | 0 0 2 |
| 2.291 | 39.3 | 25 | 1 0 5 |

a b c (Å): 4.101 6.814 13.810
angles (deg): 90.00 90.00 90.00
Space group Immm (No. 71)
One atom of each set of equivalent atoms:
Hf: 0.000 0.000 0.113 x4
Zr: 0.000 0.500 0.000 x2
Si: 0.000 0.320 0.500 x4
Si: 0.000 0.500 0.216 x4
Au: 0.000 0.206 0.334 x8

Record 13
Computed X-ray diffraction stick pattern
Compound: Hf2SnAu2
Radiation: λ = 1.5418 Å (Cu Kα)
Structure: the PBE geometry in OQMD
Neutral-atom scattering factors, no anomalous dispersion.

Largest 12 diffraction maxima, most intense first, 5 to 70 degrees two-theta:
| d (Å) | 2theta | I/Imax | index |
| --- | --- | --- | --- |
| 2.625 | 34.2 | 100 | 1 1 2 |
| 2.188 | 41.3 | 55 | 1 1 4 |
| 2.008 | 45.1 | 48 | 2 0 0 |
| 2.266 | 39.8 | 40 | 1 0 5 |
| 3.019 | 29.6 | 27 | 1 0 3 |
| 6.863 | 12.9 | 22 | 0 0 2 |
| 1.503 | 61.7 | 22 | 2 1 5 |
| 3.855 | 23.1 | 18 | 1 0 1 |
| 1.420 | 65.8 | 16 | 2 2 0 |
| 1.509 | 61.4 | 14 | 2 0 6 |
| 2.288 | 39.4 | 12 | 0 0 6 |
| 1.782 | 51.3 | 11 | 1 1 6 |

a b c (Å): 4.017 4.017 13.726
angles (deg): 90.00 90.00 90.00
Space group I4/mmm (No. 139)
One atom of each set of equivalent atoms:
Hf: 0.000 0.000 0.105 x4
Sn: 0.000 0.000 0.500 x2
Au: 0.000 0.500 0.250 x4